1.
# Ce2Ge2IrRh
Theoretical powder diffractogram, Cu Ka. Input: DFT lattice parameters and positions (GGA-PBE).

Principal peaks in the range 10 to 90 degrees two-theta, in order of rising 2θ:
2θ/deg, Rel. int.
26.51, 127
33.57, 335
34.58, 1000
40.06, 176
40.82, 301
41.03, 417
54.59, 146
66.64, 156

Structural model:
Unit cell a=4.4208 b=7.6071 c=7.0695 alpha=90.00 beta=90.00 gamma=90.00
Space group Pmc2_1 (No. 26)
One atom of each set of equivalent atoms:
1 Ce 0.0000 0.0496 0.0000 [2 per cell]
2 Ce 0.5000 0.4490 0.9728 [2 per cell]
3 Ge 0.0000 0.3341 0.6669 [2 per cell]
4 Ge 0.5000 0.1666 0.3044 [2 per cell]
5 Ir 0.0000 0.3382 0.2734 [2 per cell]
6 Rh 0.5000 0.1610 0.6948 [2 per cell]

2.
# Nb2Zn3O8
Theoretical powder diffractogram, Cu Ka. Input: DFT lattice parameters and positions (GGA-PBE).

Principal peaks in the range 10 to 90 degrees two-theta, in order of rising 2θ:
2θ/deg, Rel. int.
26.44, 204
27.43, 391
32.34, 1000
34.02, 322
34.48, 477
44.23, 214
51.56, 483
63.21, 213

Structural model:
Unit cell a=19.3734 b=5.9803 c=5.2712 alpha=90.00 beta=90.14 gamma=90.00
Space group C2/c (No. 15)
One atom of each set of equivalent atoms:
1 Nb 0.1146 0.1635 0.2631 [8 per cell]
2 Zn 0.0000 0.3466 0.7500 [4 per cell]
3 Zn 0.2207 0.3456 0.7616 [8 per cell]
4 O 0.0581 0.3748 0.4143 [8 per cell]
5 O 0.0697 0.1151 0.9245 [8 per cell]
6 O 0.1799 0.1028 0.5572 [8 per cell]
7 O 0.1929 0.3553 0.1315 [8 per cell]

3.
# BaBiAu
Theoretical powder diffractogram, Cu Ka. Input: DFT lattice parameters and positions (GGA-PBE).

Principal peaks in the range 10 to 90 degrees two-theta, in order of rising 2θ:
2θ/deg, Rel. int.
31.11, 1000
31.24, 927
44.66, 352
55.40, 575
62.09, 285
64.86, 126
73.75, 164
79.60, 145

Structural model:
Unit cell a=5.7502 b=5.7502 c=7.0002 alpha=90.00 beta=90.00 gamma=120.00
Space group P6_3/mmc (No. 194)
One atom of each set of equivalent atoms:
1 Ba 0.3333 0.6667 0.2500 [2 per cell]
2 Bi 0.3333 0.6667 0.7500 [2 per cell]
3 Au 0.0000 0.0000 0.0000 [2 per cell]